Record 1
Diffraction record for Cs4SnSb3. The X-ray powder pattern is simulated, not measured: it uses the PBE geometry in Alexandria and Cu Kα (λ = 1.5418 Å).

Structure:
a = 10.882 Å, b = 10.882 Å, c = 10.882 Å
α = 96.05°, β = 96.05°, γ = 142.10°
Element x y z (fractional)
Cs (0.089, 0.784, 0.873)
Cs (0.216, 0.089, 0.305)
Cs (0.284, 0.589, 0.873)
Cs (0.411, 0.284, 0.695)
Cs (0.589, 0.716, 0.305)
Cs (0.716, 0.411, 0.127)
Cs (0.784, 0.911, 0.695)
Cs (0.911, 0.216, 0.127)
Sn (0.250, 0.750, 0.500)
Sn (0.750, 0.250, 0.500)
Sb (0.114, 0.386, 0.500)
Sb (0.250, 0.250, 0.000)
Sb (0.386, 0.886, 0.273)
Sb (0.614, 0.114, 0.727)
Sb (0.750, 0.750, 0.000)
Sb (0.886, 0.614, 0.500)

Principal peaks in the range 5 to 70 degrees two-theta, most intense first:
2θ/deg  I_rel
25.4  100
27.4  31
30.7  24
44.5  22
28.3  21
45.3  19
35.4  18
51.4  18
28.1  17
55.5  15

***

Record 2
Diffraction record for Pr2Ag2Sn. The X-ray powder pattern is simulated, not measured: it uses the PBE geometry in Alexandria and Cu Kα (λ = 1.5418 Å).

Structure:
a = 6.151 Å, b = 6.151 Å, c = 11.424 Å
α = 113.66°, β = 113.66°, γ = 44.23°
Element x y z (fractional)
Pr (0.017, 0.017, 0.340)
Pr (0.190, 0.190, 0.105)
Pr (0.810, 0.810, 0.895)
Pr (0.983, 0.983, 0.660)
Ag (0.362, 0.362, 0.446)
Ag (0.470, 0.470, 0.109)
Ag (0.530, 0.530, 0.891)
Ag (0.638, 0.638, 0.554)
Sn (0.279, 0.279, 0.669)
Sn (0.721, 0.721, 0.331)

Principal peaks in the range 5 to 70 degrees two-theta, most intense first:
2θ/deg  I_rel
30.5  100
36.6  77
38.9  48
29.7  43
31.5  37
33.9  29
34.9  27
31.0  23
37.2  21
68.9  20